Theoretical powder diffractogram of Ba2CdP4H6O16 for a wavelength of 1.5418 Å, from a DFT-relaxed cell (GGA-PBE, the Materials Project).

The 10 most intense peaks (2θ = 10–90°), by angle:
- 4.795 Å, 2θ 18.50, rel. 654
- 3.730 Å, 2θ 23.86, rel. 698
- 3.514 Å, 2θ 25.35, rel. 509
- 3.390 Å, 2θ 26.29, rel. 622
- 3.374 Å, 2θ 26.41, rel. 639
- 3.343 Å, 2θ 26.67, rel. 647
- 2.922 Å, 2θ 30.60, rel. 504
- 2.884 Å, 2θ 31.01, rel. 406
- 2.785 Å, 2θ 32.14, rel. 1000
- 2.660 Å, 2θ 33.70, rel. 632

```
Ba2CdP4H6O16
1.0
5.5083 0.0000 0.0000
0.0000 10.4292 0.0000
-2.1958 0.0000 12.1726
Ba Cd P H O
4 2 8 12 32
direct
0.1409 0.1530 0.3197 Ba
0.1409 0.3470 0.8197 Ba
0.8591 0.6530 0.1803 Ba
0.8591 0.8470 0.6803 Ba
0.0000 0.0000 0.0000 Cd
0.0000 0.5000 0.5000 Cd
0.2361 0.6955 0.9459 P
0.2361 0.8045 0.4459 P
0.4121 0.0084 0.8017 P
0.4121 0.4916 0.3017 P
0.5879 0.5084 0.6983 P
0.5879 0.9916 0.1983 P
0.7639 0.1955 0.5541 P
0.7639 0.3045 0.0541 P
0.2896 0.5340 0.0622 H
0.2896 0.9660 0.5622 H
0.3814 0.6749 0.7532 H
0.3814 0.8251 0.2532 H
0.4364 0.1851 0.0580 H
0.4364 0.3149 0.5580 H
0.5636 0.6851 0.4420 H
0.5636 0.8149 0.9420 H
0.6186 0.1749 0.7468 H
0.6186 0.3251 0.2468 H
0.7104 0.0340 0.4378 H
0.7104 0.4660 0.9378 H
0.0708 0.7288 0.5098 O
0.0708 0.7712 0.0098 O
0.1674 0.6997 0.8209 O
0.1674 0.8003 0.3209 O
0.1712 0.0086 0.8478 O
0.1712 0.4914 0.3478 O
0.2360 0.5480 0.9791 O
0.2360 0.9520 0.4791 O
0.3679 0.0591 0.1232 O
0.3679 0.4409 0.6232 O
0.3726 0.5549 0.1873 O
0.3726 0.9451 0.6873 O
0.4789 0.1568 0.7893 O
0.4789 0.3432 0.2893 O
0.4804 0.2344 0.5186 O
0.4804 0.2656 0.0186 O
0.5196 0.7344 0.9814 O
0.5196 0.7656 0.4814 O
0.5211 0.6568 0.7107 O
0.5211 0.8432 0.2107 O
0.6274 0.0549 0.3127 O
0.6274 0.4451 0.8127 O
0.6321 0.5591 0.3768 O
0.6321 0.9409 0.8768 O
0.7640 0.0480 0.5209 O
0.7640 0.4520 0.0209 O
0.8288 0.5086 0.6522 O
0.8288 0.9914 0.1522 O
0.8326 0.1997 0.6791 O
0.8326 0.3003 0.1791 O
0.9292 0.2288 0.9902 O
0.9292 0.2712 0.4902 O
```